This entry pairs a crystal structure of Mg14BCO16 with its simulated X-ray diffraction stick pattern. Radiation: Cu Kα. Structure: a GGA-PBE-relaxed structure.
Neutral-atom scattering factors, no anomalous dispersion.

Most intense lines, 2θ from 5° to 70°, low angle first:
2θ 10.31, d 8.578, intensity 5.6
2θ 10.54, d 8.395, intensity 3.2
2θ 23.36, d 3.808, intensity 4.3
2θ 36.68, d 2.450, intensity 26.4
2θ 42.14, d 2.144, intensity 100.0
2θ 42.57, d 2.123, intensity 97.6
2θ 43.10, d 2.099, intensity 79.7
2θ 48.33, d 1.883, intensity 4.3
2θ 49.60, d 1.838, intensity 4.6
2θ 61.45, d 1.509, intensity 54.6
2θ 61.86, d 1.500, intensity 45.9
2θ 62.19, d 1.493, intensity 45.5

Crystal structure
a = 4.247 Å, b = 8.395 Å, c = 8.578 Å
α = 90.00°, β = 90.00°, γ = 90.00°
Space group Pmmm (No. 47)
Asymmetric unit:
Mg 0.000 0.000 0.000
Mg 0.000 0.246 0.250
Mg 0.000 0.500 0.000
Mg 0.500 0.000 0.253
Mg 0.500 0.242 0.500
Mg 0.500 0.250 0.000
Mg 0.500 0.500 0.256
B 0.000 0.000 0.500
C 0.000 0.500 0.500
O 0.000 0.000 0.238
O 0.000 0.166 0.500
O 0.000 0.253 0.000
O 0.000 0.500 0.251
O 0.500 0.000 0.000
O 0.500 0.000 0.500
O 0.500 0.251 0.256
O 0.500 0.500 0.000
O 0.500 0.500 0.500